Entry 1:
# InAgAsS4
Calculated powder XRD pattern, CuKα. Input: a cell relaxed with PBE.
Neutral-atom scattering factors, no anomalous dispersion.

Top 10 peaks for 2θ from 10° to 80°, low angle first:
5.284 Å, I = 11; 5.111 Å, I = 17; 4.129 Å, I = 19; 3.254 Å, I = 100; 2.556 Å, I = 14; 2.065 Å, I = 23; 1.959 Å, I = 37; 1.743 Å, I = 31; 1.620 Å, I = 12; 1.275 Å, I = 10

Atomic structure:
Cell lengths 6.7064, 6.7064, 6.7064 Å; angles 128.38, 128.38, 76.01 degrees
Sites, in units of the cell vectors:
In: 0.0000 0.0000 0.0000
Ag: 0.5000 0.5000 0.0000
As: 0.7500 0.2500 0.5000
S: 0.1048 0.6130 0.9965
S: 0.3870 0.3834 0.4918
S: 0.6166 0.1084 0.0035
S: 0.8916 0.8952 0.5082

Entry 2:
# InAg2AsS4
Calculated powder XRD pattern, CuKα. Input: a cell relaxed with PBE.
Neutral-atom scattering factors, no anomalous dispersion.

Top 10 peaks for 2θ from 10° to 80°, low angle first:
3.498 Å, I = 51; 3.451 Å, I = 46; 3.148 Å, I = 100; 3.087 Å, I = 18; 2.954 Å, I = 16; 2.335 Å, I = 28; 2.000 Å, I = 16; 1.978 Å, I = 32; 1.958 Å, I = 15; 1.946 Å, I = 15

Atomic structure:
Cell lengths 5.2005, 6.2593, 6.7991 Å; angles 71.32, 67.59, 89.26 degrees
Sites, in units of the cell vectors:
In: 0.0000 0.0000 0.0000
Ag: 0.5371 0.5322 0.9633
Ag: 0.7657 0.2390 0.4911
As: 0.2271 0.7673 0.4776
S: 0.2167 0.1337 0.2208
S: 0.4006 0.8733 0.7083
S: 0.6398 0.6514 0.2611
S: 0.9325 0.3518 0.7511

Entry 3:
# InAg2Te4As
Calculated powder XRD pattern, CuKα. Input: a cell relaxed with PBE.
Neutral-atom scattering factors, no anomalous dispersion.

Top 10 peaks for 2θ from 10° to 80°, low angle first:
3.771 Å, I = 100; 2.325 Å, I = 27; 2.301 Å, I = 52; 1.979 Å, I = 33; 1.951 Å, I = 8; 1.949 Å, I = 8; 1.644 Å, I = 9; 1.338 Å, I = 9; 1.337 Å, I = 9; 1.264 Å, I = 7

Atomic structure:
Cell lengths 6.5746, 6.5751, 7.9372 Å; angles 65.63, 65.61, 89.98 degrees
Sites, in units of the cell vectors:
In: 0.0000 0.0000 0.0000
Ag: 0.4997 0.5002 0.0002
Ag: 0.7501 0.2499 0.5000
Te: 0.1257 0.1283 0.2519
Te: 0.3802 0.8752 0.7475
Te: 0.6235 0.6207 0.2520
Te: 0.8719 0.3769 0.7486
As: 0.2499 0.7499 0.5000

Entry 4:
# AgAs2Ir
Calculated powder XRD pattern, CuKα. Input: a cell relaxed with PBE.
Neutral-atom scattering factors, no anomalous dispersion.

Top 10 peaks for 2θ from 10° to 80°, low angle first:
6.368 Å, I = 24; 3.791 Å, I = 42; 3.184 Å, I = 25; 2.900 Å, I = 23; 2.427 Å, I = 36; 2.223 Å, I = 100; 2.144 Å, I = 33; 1.986 Å, I = 24; 1.930 Å, I = 13; 1.537 Å, I = 17

Atomic structure:
Cell lengths 6.8321, 6.8321, 6.8321 Å; angles 154.99, 146.21, 42.50 degrees
Sites, in units of the cell vectors:
Ag: 0.0000 0.0000 0.0000
As: 0.3397 0.8397 0.5000
As: 0.6153 0.6153 0.0000
Ir: 0.7758 0.2758 0.5000

Entry 5:
# KAg6As2
Calculated powder XRD pattern, CuKα. Input: a cell relaxed with PBE.
Neutral-atom scattering factors, no anomalous dispersion.

Top 10 peaks for 2θ from 10° to 80°, low angle first:
4.550 Å, I = 13; 2.627 Å, I = 100; 2.278 Å, I = 71; 2.206 Å, I = 91; 1.816 Å, I = 10; 1.611 Å, I = 23; 1.420 Å, I = 17; 1.373 Å, I = 24; 1.301 Å, I = 28; 1.205 Å, I = 10

Atomic structure:
Cell lengths 4.5563, 4.5563, 9.0806 Å; angles 90.00, 90.00, 90.00 degrees
Sites, in units of the cell vectors:
K: 0.0000 0.0000 0.0000
Ag: 0.0000 0.0000 0.5000
Ag: 0.0000 0.5000 0.3002
Ag: 0.0000 0.5000 0.6998
Ag: 0.5000 0.0000 0.3002
Ag: 0.5000 0.0000 0.6998
Ag: 0.5000 0.5000 0.5000
As: 0.5000 0.5000 0.1451
As: 0.5000 0.5000 0.8549

Entry 6:
# KAgAsRu
Calculated powder XRD pattern, CuKα. Input: a cell relaxed with PBE.
Neutral-atom scattering factors, no anomalous dispersion.

Top 10 peaks for 2θ from 10° to 80°, low angle first:
6.200 Å, I = 100; 3.371 Å, I = 18; 3.100 Å, I = 18; 2.881 Å, I = 20; 2.582 Å, I = 79; 2.094 Å, I = 45; 2.009 Å, I = 34; 1.911 Å, I = 19; 1.671 Å, I = 28; 1.244 Å, I = 14

Atomic structure:
Cell lengths 4.0171, 4.0171, 12.3996 Å; angles 90.00, 90.00, 90.00 degrees
Sites, in units of the cell vectors:
K: 0.2500 0.2500 0.2400
K: 0.7500 0.7500 0.7600
Ag: 0.2500 0.7500 0.0000
Ag: 0.7500 0.2500 0.0000
As: 0.2500 0.2500 0.6127
As: 0.7500 0.7500 0.3873
Ru: 0.2500 0.7500 0.5000
Ru: 0.7500 0.2500 0.5000

Entry 7:
# KAgAsSe2
Calculated powder XRD pattern, CuKα. Input: a cell relaxed with PBE.
Neutral-atom scattering factors, no anomalous dispersion.

Top 10 peaks for 2θ from 10° to 80°, low angle first:
7.465 Å, I = 100; 3.260 Å, I = 63; 3.098 Å, I = 56; 2.788 Å, I = 23; 2.580 Å, I = 23; 2.515 Å, I = 59; 2.455 Å, I = 24; 2.439 Å, I = 39; 2.123 Å, I = 30; 1.867 Å, I = 30

Atomic structure:
Cell lengths 7.9688, 7.9688, 6.8091 Å; angles 90.00, 90.00, 139.04 degrees
Sites, in units of the cell vectors:
K: 0.2500 0.7500 0.7617
K: 0.7500 0.2500 0.2383
Ag: 0.0000 0.0000 0.0000
Ag: 0.5000 0.5000 0.0000
As: 0.2500 0.2500 0.5000
As: 0.7500 0.7500 0.5000
Se: 0.1228 0.8772 0.2566
Se: 0.3772 0.6228 0.2566
Se: 0.6228 0.3772 0.7434
Se: 0.8772 0.1228 0.7434

Entry 8:
# K2AgAs3Se6
Calculated powder XRD pattern, CuKα. Input: a cell relaxed with PBE.
Neutral-atom scattering factors, no anomalous dispersion.

Top 10 peaks for 2θ from 10° to 80°, low angle first:
6.851 Å, I = 25; 6.630 Å, I = 100; 6.220 Å, I = 32; 3.169 Å, I = 30; 3.107 Å, I = 48; 2.954 Å, I = 56; 2.868 Å, I = 42; 2.765 Å, I = 38; 2.368 Å, I = 27; 2.162 Å, I = 29

Atomic structure:
Cell lengths 12.9282, 7.7542, 18.1549 Å; angles 90.00, 126.31, 90.00 degrees
Sites, in units of the cell vectors:
K: 0.0894 0.1154 0.2447
K: 0.0894 0.3846 0.7447
K: 0.2883 0.6370 0.6148
K: 0.2883 0.8630 0.1148
K: 0.7117 0.1370 0.8852
K: 0.7117 0.3630 0.3852
K: 0.9106 0.6154 0.2553
K: 0.9106 0.8846 0.7553
Ag: 0.0259 0.0125 0.4279
Ag: 0.0259 0.4875 0.9279
Ag: 0.9741 0.5125 0.0721
Ag: 0.9741 0.9875 0.5721
As: 0.2759 0.0923 0.6530
As: 0.2759 0.4077 0.1530
As: 0.3242 0.5669 0.3616
As: 0.3242 0.9331 0.8616
As: 0.3774 0.1877 0.5030
As: 0.3774 0.3123 0.0030
As: 0.6226 0.6877 0.9970
As: 0.6226 0.8123 0.4970
As: 0.6758 0.0669 0.1384
As: 0.6758 0.4331 0.6384
As: 0.7241 0.5923 0.8470
As: 0.7241 0.9077 0.3470
Se: 0.0893 0.2285 0.0593
Se: 0.0893 0.2715 0.5593
Se: 0.1490 0.6935 0.2239
Se: 0.1490 0.8065 0.7239
Se: 0.2124 0.0815 0.9172
Se: 0.2124 0.4185 0.4172
Se: 0.2505 0.5637 0.9603
Se: 0.2505 0.9363 0.4603
Se: 0.3750 0.1982 0.8093
Se: 0.3750 0.3018 0.3093
Se: 0.4453 0.2471 0.1593
Se: 0.4453 0.2529 0.6593
Se: 0.5547 0.7471 0.3407
Se: 0.5547 0.7529 0.8407
Se: 0.6250 0.6982 0.6907
Se: 0.6250 0.8018 0.1907
Se: 0.7495 0.0637 0.5397
Se: 0.7495 0.4363 0.0397
Se: 0.7876 0.5815 0.5828
Se: 0.7876 0.9185 0.0828
Se: 0.8510 0.1935 0.2761
Se: 0.8510 0.3065 0.7761
Se: 0.9107 0.7285 0.4407
Se: 0.9107 0.7715 0.9407

Entry 9:
# LaAgAs2
Calculated powder XRD pattern, CuKα. Input: a cell relaxed with PBE.
Neutral-atom scattering factors, no anomalous dispersion.

Top 10 peaks for 2θ from 10° to 80°, low angle first:
3.876 Å, I = 20; 3.283 Å, I = 24; 2.707 Å, I = 25; 2.674 Å, I = 36; 2.581 Å, I = 99; 2.572 Å, I = 100; 2.079 Å, I = 61; 1.902 Å, I = 19; 1.641 Å, I = 28; 1.525 Å, I = 19

Atomic structure:
Cell lengths 5.8930, 21.3930, 5.8678 Å; angles 90.00, 90.00, 90.00 degrees
Sites, in units of the cell vectors:
La: 0.0119 0.1148 0.2500
La: 0.0119 0.3852 0.7500
La: 0.4864 0.6194 0.7500
La: 0.4864 0.8806 0.2500
La: 0.5136 0.1194 0.7500
La: 0.5136 0.3806 0.2500
La: 0.9881 0.6148 0.2500
La: 0.9881 0.8852 0.7500
Ag: 0.2338 0.7500 0.0000
Ag: 0.2338 0.7500 0.5000
Ag: 0.2632 0.2500 0.0000
Ag: 0.2632 0.2500 0.5000
Ag: 0.7368 0.7500 0.0000
Ag: 0.7368 0.7500 0.5000
Ag: 0.7662 0.2500 0.0000
Ag: 0.7662 0.2500 0.5000
As: 0.0138 0.1625 0.7500
As: 0.0138 0.3375 0.2500
As: 0.2811 0.0012 0.5336
As: 0.2811 0.0012 0.9664
As: 0.2811 0.4988 0.0336
As: 0.2811 0.4988 0.4664
As: 0.4866 0.6634 0.2500
As: 0.4866 0.8366 0.7500
As: 0.5134 0.1634 0.2500
As: 0.5134 0.3366 0.7500
As: 0.7189 0.5012 0.5336
As: 0.7189 0.5012 0.9664
As: 0.7189 0.9988 0.0336
As: 0.7189 0.9988 0.4664
As: 0.9862 0.6625 0.7500
As: 0.9862 0.8375 0.2500

Entry 10:
# La2AgAs4Pd3
Calculated powder XRD pattern, CuKα. Input: a cell relaxed with PBE.
Neutral-atom scattering factors, no anomalous dispersion.

Top 10 peaks for 2θ from 10° to 80°, low angle first:
2.703 Å, I = 66; 2.693 Å, I = 100; 2.246 Å, I = 73; 1.983 Å, I = 20; 1.850 Å, I = 21; 1.727 Å, I = 34; 1.588 Å, I = 24; 1.493 Å, I = 15; 1.428 Å, I = 18; 1.368 Å, I = 31

Atomic structure:
Cell lengths 4.4922, 4.4922, 10.1514 Å; angles 90.00, 90.00, 90.00 degrees
Sites, in units of the cell vectors:
La: 0.0000 0.5000 0.2433
La: 0.5000 0.0000 0.7567
Ag: 0.0000 0.0000 0.5000
As: 0.0000 0.0000 0.0000
As: 0.0000 0.5000 0.6390
As: 0.5000 0.0000 0.3610
As: 0.5000 0.5000 0.0000
Pd: 0.0000 0.5000 0.8839
Pd: 0.5000 0.0000 0.1161
Pd: 0.5000 0.5000 0.5000